Structure and computed powder diffractogram of La4FeNi2O10 (DFT lattice parameters and positions (GGA+U); a wavelength of 1.5418 Å).

Cell and atoms:
Lattice parameters (Å, degrees): 14.436 14.436 14.436 164.45 164.45 22.05
Fractional positions:
La 0.000 0.000 0.000
La 0.129 0.129 0.000
La 0.259 0.259 0.000
La 0.398 0.398 0.000
Fe 0.836 0.836 0.000
Ni 0.557 0.557 0.000
Ni 0.697 0.697 0.000
O 0.057 0.557 0.500
O 0.199 0.699 0.500
O 0.340 0.840 0.500
O 0.480 0.480 0.000
O 0.557 0.057 0.500
O 0.628 0.628 0.000
O 0.699 0.199 0.500
O 0.768 0.768 0.000
O 0.840 0.340 0.500
O 0.915 0.915 0.000

Main lines, most intense first (2θ from 10° to 90°):
| 2θ (°) | d_spacing | intensity |
| --- | --- | --- |
| 31.84 | 2.811 | 100 |
| 32.43 | 2.761 | 66 |
| 46.51 | 1.952 | 38 |
| 57.47 | 1.603 | 38 |
| 41.46 | 2.178 | 27 |
| 22.99 | 3.868 | 14 |